No. 1
PmAsO4F: computed PXRD pattern (copper Kα), based on a structure optimized by DFT (GGA-PBE).
Kinematic intensities with the Lorentz-polarization factor, no thermal factor.

Crystal structure
a = 9.747 Å, b = 7.414 Å, c = 6.874 Å
α = 90.00°, β = 107.03°, γ = 90.00°
Space group C2/m (No. 12)
Asymmetric unit:
Pm (0.203, 0.000, 0.107) x4
As (0.146, 0.500, 0.272) x4
O (0.037, 0.500, 0.781) x4
O (0.202, 0.322, 0.153) x8
O (0.219, 0.500, 0.528) x4
F (0.011, 0.000, 0.819) x4

Main lines, by angle (10 to 80 degrees two-theta):
| Position (°2θ) | Rel. int. | h k l |
| --- | --- | --- |
| 13.47 | 80.9 | 0 0 1 |
| 19.05 | 59.5 | 2 0 0 |
| 24.01 | 100.0 | 0 2 0 |
| 26.49 | 52.2 | 2 0 1 |
| 28.68 | 68.9 | 1 1 -2 |
| 30.48 | 47.4 | 3 1 -1 |
| 35.58 | 27.1 | 3 1 -2 |
| 36.05 | 27.0 | 2 2 1 |
| 45.24 | 33.3 | 1 3 -2 |
| 46.93 | 26.2 | 1 1 3 |

=====

No. 2
AsSOF9: computed PXRD pattern (copper Kα), based on a structure optimized by DFT (GGA-PBE).
Kinematic intensities with the Lorentz-polarization factor, no thermal factor.

Crystal structure
a = 11.032 Å, b = 7.389 Å, c = 8.759 Å
α = 90.00°, β = 90.00°, γ = 90.00°
Space group Pnma (No. 62)
Asymmetric unit:
As (0.012, 0.250, 0.203) x4
S (0.188, 0.750, 0.337) x4
O (0.235, 0.250, 0.711) x4
F (0.003, 0.750, 0.997) x4
F (0.033, 0.250, 0.405) x4
F (0.054, 0.750, 0.307) x4
F (0.099, 0.579, 0.778) x8
F (0.127, 0.081, 0.188) x8
F (0.201, 0.594, 0.446) x8

Main lines, by angle (10 to 80 degrees two-theta):
| Position (°2θ) | Rel. int. | h k l |
| --- | --- | --- |
| 15.69 | 19.3 | 0 1 1 |
| 16.07 | 17.6 | 2 0 0 |
| 17.64 | 17.8 | 1 1 1 |
| 20.28 | 32.7 | 0 0 2 |
| 22.53 | 100.0 | 2 1 1 |
| 24.09 | 25.8 | 0 2 0 |
| 24.97 | 26.2 | 1 1 2 |
| 29.09 | 16.9 | 2 2 0 |
| 40.83 | 17.7 | 4 2 0 |
| 43.90 | 18.7 | 1 1 4 |

=====

No. 3
SmAsO4F: computed PXRD pattern (copper Kα), based on a structure optimized by DFT (GGA-PBE).
Kinematic intensities with the Lorentz-polarization factor, no thermal factor.

Crystal structure
a = 9.704 Å, b = 7.375 Å, c = 6.853 Å
α = 90.00°, β = 107.12°, γ = 90.00°
Space group C2/m (No. 12)
Asymmetric unit:
Sm (0.202, 0.000, 0.106) x4
As (0.146, 0.500, 0.272) x4
O (0.038, 0.500, 0.782) x4
O (0.202, 0.321, 0.153) x8
O (0.220, 0.500, 0.529) x4
F (0.011, 0.000, 0.818) x4

Main lines, by angle (10 to 80 degrees two-theta):
| Position (°2θ) | Rel. int. | h k l |
| --- | --- | --- |
| 13.52 | 82.9 | 0 0 1 |
| 19.14 | 60.3 | 2 0 0 |
| 24.13 | 100.0 | 0 2 0 |
| 26.62 | 52.4 | 2 0 1 |
| 28.77 | 70.0 | 1 1 -2 |
| 30.61 | 47.9 | 3 1 -1 |
| 35.70 | 27.5 | 3 1 -2 |
| 36.24 | 27.3 | 2 2 1 |
| 45.44 | 28.1 | 1 3 -2 |
| 47.12 | 25.3 | 1 1 3 |

=====

No. 4
AsXe2OF10: computed PXRD pattern (copper Kα), based on a structure optimized by DFT (GGA-PBE).
Kinematic intensities with the Lorentz-polarization factor, no thermal factor.

Crystal structure
a = 8.832 Å, b = 8.832 Å, c = 12.351 Å
α = 90.00°, β = 90.00°, γ = 90.00°
Space group I4/mcm (No. 140)
Asymmetric unit:
As (0.000, 0.000, 0.000) x4
Xe (0.250, 0.250, 0.250) x8
O (0.000, 0.500, 0.000) x4
F (0.000, 0.000, 0.144) x8
F (0.091, 0.179, 0.000) x16
F (0.111, 0.389, 0.343) x16

Main lines, by angle (10 to 80 degrees two-theta):
| Position (°2θ) | Rel. int. | h k l |
| --- | --- | --- |
| 20.22 | 15.1 | 1 1 2 |
| 24.79 | 100.0 | 2 0 2 |
| 28.59 | 45.1 | 2 2 0 |
| 28.92 | 18.1 | 0 0 4 |
| 32.11 | 22.0 | 2 2 2 |
| 35.48 | 16.7 | 2 0 4 |
| 41.11 | 20.6 | 2 2 4 |
| 48.39 | 37.5 | 4 2 2 |
| 48.81 | 20.4 | 2 0 6 |
| 65.50 | 16.0 | 4 2 6 |

=====

No. 5
AsPS2F: computed PXRD pattern (copper Kα), based on a structure optimized by DFT (GGA-PBE).
Kinematic intensities with the Lorentz-polarization factor, no thermal factor.

Crystal structure
a = 5.000 Å, b = 5.000 Å, c = 3.617 Å
α = 90.00°, β = 90.00°, γ = 90.00°
Space group P4/mmm (No. 123)
Asymmetric unit:
As (0.000, 0.000, 0.000) x1
P (0.500, 0.500, 0.000) x1
S (0.000, 0.500, 0.500) x2
F (0.500, 0.500, 0.500) x1

Main lines, by angle (10 to 80 degrees two-theta):
| Position (°2θ) | Rel. int. | h k l |
| --- | --- | --- |
| 25.19 | 19.3 | 1 1 0 |
| 30.51 | 28.2 | 1 0 1 |
| 35.51 | 100.0 | 1 1 1 |
| 35.92 | 76.4 | 2 0 0 |
| 47.83 | 15.7 | 2 1 1 |
| 50.47 | 13.3 | 0 0 2 |
| 51.71 | 24.6 | 2 2 0 |
| 63.49 | 25.6 | 2 0 2 |
| 64.30 | 33.6 | 3 1 1 |
| 75.16 | 15.5 | 2 2 2 |

=====

No. 6
AsPbF7: computed PXRD pattern (copper Kα), based on a structure optimized by DFT (GGA-PBE).
Kinematic intensities with the Lorentz-polarization factor, no thermal factor.

Crystal structure
a = 4.811 Å, b = 7.343 Å, c = 7.812 Å
α = 105.04°, β = 96.58°, γ = 92.36°
Space group P-1 (No. 2)
Asymmetric unit:
As (0.161, 0.308, 0.208) x2
Pb (0.279, 0.156, 0.683) x2
F (0.001, 0.516, 0.307) x2
F (0.021, 0.704, 0.006) x2
F (0.120, 0.831, 0.746) x2
F (0.224, 0.917, 0.417) x2
F (0.321, 0.101, 0.113) x2
F (0.343, 0.314, 0.423) x2
F (0.438, 0.450, 0.168) x2

Main lines, by angle (10 to 80 degrees two-theta):
| Position (°2θ) | Rel. int. | h k l |
| --- | --- | --- |
| 14.77 | 42.7 | 0 1 -1 |
| 21.70 | 62.7 | 1 -1 0 |
| 23.26 | 100.0 | 1 1 0 |
| 23.78 | 80.1 | 0 0 2 |
| 24.82 | 49.4 | 0 2 -1 |
| 25.22 | 78.5 | -1 1 1 |
| 28.96 | 45.8 | 1 1 -2 |
| 29.82 | 67.6 | 0 2 -2 |
| 45.48 | 36.9 | -1 3 1 |
| 47.77 | 38.3 | 2 2 -2 |

=====

No. 7
AsPb2F: computed PXRD pattern (copper Kα), based on a structure optimized by DFT (GGA-PBE).
Kinematic intensities with the Lorentz-polarization factor, no thermal factor.

Crystal structure
a = 7.393 Å, b = 4.271 Å, c = 6.684 Å
α = 90.00°, β = 111.70°, γ = 90.00°
Space group C2/m (No. 12)
Asymmetric unit:
As (0.000, 0.000, 0.000) x2
Pb (0.245, 0.000, 0.734) x4
F (0.000, 0.500, 0.500) x2

Main lines, by angle (10 to 80 degrees two-theta):
| Position (°2θ) | Rel. int. | h k l |
| --- | --- | --- |
| 25.92 | 57.8 | 2 0 0 |
| 28.75 | 14.3 | 0 0 2 |
| 30.88 | 100.0 | 1 1 1 |
| 42.33 | 43.3 | 0 2 0 |
| 46.06 | 32.1 | 2 0 2 |
| 51.98 | 18.0 | 0 2 2 |
| 53.31 | 21.8 | 4 0 0 |
| 64.33 | 11.9 | 4 0 -4 |
| 70.32 | 19.3 | 4 2 0 |
| 75.76 | 14.0 | 0 2 4 |

=====

No. 8
AsPb2F7: computed PXRD pattern (copper Kα), based on a structure optimized by DFT (GGA-PBE).
Kinematic intensities with the Lorentz-polarization factor, no thermal factor.

Crystal structure
a = 13.802 Å, b = 6.991 Å, c = 8.535 Å
α = 90.00°, β = 127.41°, γ = 90.00°
Space group C2/c (No. 15)
Asymmetric unit:
As (0.000, 0.120, 0.250) x4
Pb (0.204, 0.443, 0.113) x8
F (0.000, 0.380, 0.250) x4
F (0.095, 0.159, 0.140) x8
F (0.160, 0.308, 0.811) x8
F (0.166, 0.147, 0.511) x8

Main lines, by angle (10 to 80 degrees two-theta):
| Position (°2θ) | Rel. int. | h k l |
| --- | --- | --- |
| 16.17 | 69.8 | 2 0 0 |
| 23.00 | 35.0 | 1 1 1 |
| 25.68 | 100.0 | 1 1 -2 |
| 25.87 | 37.9 | 3 1 -2 |
| 26.65 | 48.0 | 4 0 -2 |
| 27.54 | 57.9 | 3 1 0 |
| 28.81 | 61.3 | 2 2 -1 |
| 34.57 | 28.3 | 1 1 2 |
| 37.21 | 46.4 | 4 2 -2 |
| 45.35 | 45.9 | 2 0 -4 |